IrPd5Se12: computed PXRD pattern (copper Kα), based on a crystal structure in Alexandria, relaxed with GGA-PBE.
Intensities are scaled so that the largest is 100.

Top 10 peaks for 5 to 70 degrees two-theta, sorted by position:
2θ 16.64, I 100, (0 0 2); 2θ 30.64, I 54, (1 3 -2); 2θ 30.89, I 27, (2 0 1); 2θ 33.81, I 30, (1 3 2); 2θ 35.37, I 44, (1 3 -3); 2θ 39.22, I 23, (2 0 -4); 2θ 39.54, I 45, (1 3 3); 2θ 48.17, I 29, (0 6 0); 2θ 48.24, I 58, (3 3 -1); 2θ 48.51, I 28, (1 3 -5)

Atomic structure:
a = 6.532 Å, b = 11.334 Å, c = 10.897 Å
α = 90.00°, β = 102.17°, γ = 90.00°
Space group C2/m (No. 12)
Unique sites:
Ir: 0.000 0.000 0.000 (multiplicity 2)
Pd: 0.000 0.167 0.500 (multiplicity 4)
Pd: 0.000 0.333 0.000 (multiplicity 4)
Pd: 0.000 0.500 0.500 (multiplicity 2)
Se: 0.122 0.165 0.880 (multiplicity 8)
Se: 0.128 0.500 0.880 (multiplicity 4)
Se: 0.209 0.000 0.622 (multiplicity 4)
Se: 0.210 0.334 0.622 (multiplicity 8)

Th2Si4Ir3Pd: computed PXRD pattern (copper Kα), based on a crystal structure in Alexandria, relaxed with GGA-PBE.
Intensities are scaled so that the largest is 100.

Top 10 peaks for 5 to 70 degrees two-theta, sorted by position:
2θ 27.72, I 25, (1 0 2); 2θ 29.96, I 33, (1 1 0); 2θ 31.31, I 50, (1 1 1); 2θ 34.39, I 94, (1 0 3); 2θ 35.08, I 100, (1 1 2); 2θ 42.88, I 69, (2 0 0); 2θ 50.71, I 31, (1 0 5); 2θ 56.09, I 48, (2 1 3); 2θ 62.26, I 23, (2 2 0); 2θ 68.53, I 26, (2 1 5)

Atomic structure:
a = 4.218 Å, b = 4.218 Å, c = 9.954 Å
α = 90.00°, β = 90.00°, γ = 90.00°
Space group P-4m2 (No. 115)
Unique sites:
Th: 0.000 0.500 0.244 (multiplicity 2)
Si: 0.000 0.000 0.000 (multiplicity 1)
Si: 0.000 0.500 0.634 (multiplicity 2)
Si: 0.500 0.500 0.000 (multiplicity 1)
Ir: 0.000 0.500 0.876 (multiplicity 2)
Ir: 0.500 0.500 0.500 (multiplicity 1)
Pd: 0.000 0.000 0.500 (multiplicity 1)

Sm3IrPd2: computed PXRD pattern (copper Kα), based on a crystal structure in Alexandria, relaxed with GGA-PBE.
Intensities are scaled so that the largest is 100.

Top 10 peaks for 5 to 70 degrees two-theta, sorted by position:
2θ 12.50, I 4, (0 0 1); 2θ 35.65, I 51, (2 0 0); 2θ 35.76, I 100, (1 3 2); 2θ 37.92, I 1, (2 0 1); 2θ 46.13, I 1, (1 3 3); 2θ 51.30, I 18, (2 6 0); 2θ 51.62, I 9, (0 0 4); 2θ 64.05, I 18, (1 9 2); 2θ 64.16, I 18, (3 3 2); 2θ 64.31, I 18, (2 0 4)

Atomic structure:
a = 5.031 Å, b = 15.130 Å, c = 7.082 Å
α = 90.00°, β = 90.00°, γ = 90.00°
Space group Cmmm (No. 65)
Unique sites:
Sm: 0.000 0.000 0.244 (multiplicity 4)
Sm: 0.000 0.331 0.242 (multiplicity 8)
Ir: 0.000 0.164 0.000 (multiplicity 4)
Pd: 0.000 0.167 0.500 (multiplicity 4)
Pd: 0.000 0.500 0.000 (multiplicity 2)
Pd: 0.000 0.500 0.500 (multiplicity 2)

Sm8Ir2Pd: computed PXRD pattern (copper Kα), based on a crystal structure in Alexandria, relaxed with GGA-PBE.
Intensities are scaled so that the largest is 100.

Top 10 peaks for 5 to 70 degrees two-theta, sorted by position:
2θ 14.93, I 38, (0 0 1); 2θ 30.06, I 100, (1 3 1); 2θ 30.29, I 31, (2 0 1); 2θ 32.17, I 54, (0 4 1); 2θ 32.67, I 63, (3 1 -1); 2θ 33.38, I 51, (0 2 2); 2θ 34.55, I 39, (2 2 -2); 2θ 36.07, I 50, (2 4 0); 2θ 39.07, I 52, (1 5 -1); 2θ 39.64, I 34, (3 3 0)

Atomic structure:
a = 8.526 Å, b = 12.603 Å, c = 6.238 Å
α = 90.00°, β = 107.96°, γ = 90.00°
Space group Cm (No. 8)
Unique sites:
Sm: 0.000 0.000 0.000 (multiplicity 2)
Sm: 0.076 0.366 0.809 (multiplicity 4)
Sm: 0.157 0.132 0.587 (multiplicity 4)
Sm: 0.227 0.500 0.387 (multiplicity 2)
Sm: 0.369 0.217 0.196 (multiplicity 4)
Ir: 0.364 0.313 0.690 (multiplicity 4)
Pd: 0.359 0.000 0.021 (multiplicity 2)

Sm3Ir2Pd: computed PXRD pattern (copper Kα), based on a crystal structure in Alexandria, relaxed with GGA-PBE.
Intensities are scaled so that the largest is 100.

Top 10 peaks for 5 to 70 degrees two-theta, sorted by position:
2θ 8.36, I 5, (0 0 1); 2θ 16.76, I 2, (0 0 2); 2θ 35.93, I 100, (1 1 0); 2θ 39.86, I 1, (1 1 2); 2θ 42.68, I 1, (1 0 4); 2θ 50.24, I 1, (1 0 5); 2θ 51.67, I 12, (2 0 0); 2θ 51.84, I 6, (0 0 6); 2θ 64.55, I 24, (2 1 3); 2θ 64.67, I 12, (1 1 6)

Atomic structure:
a = 3.538 Å, b = 3.538 Å, c = 10.581 Å
α = 90.00°, β = 90.00°, γ = 90.00°
Space group P4/mmm (No. 123)
Unique sites:
Sm: 0.000 0.000 0.000 (multiplicity 1)
Sm: 0.000 0.000 0.324 (multiplicity 2)
Ir: 0.500 0.500 0.167 (multiplicity 2)
Pd: 0.500 0.500 0.500 (multiplicity 1)

Sm6IrPd2: computed PXRD pattern (copper Kα), based on a crystal structure in Alexandria, relaxed with GGA-PBE.
Intensities are scaled so that the largest is 100.

Top 10 peaks for 5 to 70 degrees two-theta, sorted by position:
2θ 14.62, I 39, (0 1 1); 2θ 28.52, I 100, (1 2 0); 2θ 29.26, I 42, (2 1 -2); 2θ 29.61, I 88, (1 0 -4); 2θ 30.19, I 97, (2 1 -1); 2θ 32.00, I 37, (1 1 -4); 2θ 32.12, I 42, (1 2 1); 2θ 38.60, I 61, (1 3 -1); 2θ 45.21, I 36, (3 1 -1); 2θ 52.33, I 37, (2 1 3)

Atomic structure:
a = 6.695 Å, b = 7.468 Å, c = 12.101 Å
α = 90.00°, β = 121.02°, γ = 90.00°
Space group P2_1/c (No. 14)
Unique sites:
Sm: 0.094 0.184 0.431 (multiplicity 4)
Sm: 0.255 0.675 0.428 (multiplicity 4)
Sm: 0.404 0.043 0.248 (multiplicity 4)
Ir: 0.500 0.000 0.500 (multiplicity 2)
Pd: 0.176 0.116 0.736 (multiplicity 4)